The following is a computed X-ray powder pattern of Ag2HgBr5. It was derived from a cell relaxed with GGA-PBE, using Cu Kα (weighted mean of Kα1 and Kα2).

Cell and atoms:
a = 7.264 Å, b = 7.264 Å, c = 12.700 Å
α = 90.00°, β = 90.00°, γ = 129.02°
Fractional positions:
Ag 0.155 0.845 0.559
Ag 0.155 0.845 0.941
Ag 0.845 0.155 0.059
Ag 0.845 0.155 0.441
Hg 0.226 0.774 0.250
Hg 0.774 0.226 0.750
Br 0.050 0.950 0.121
Br 0.050 0.950 0.379
Br 0.242 0.758 0.750
Br 0.330 0.670 0.067
Br 0.330 0.670 0.433
Br 0.670 0.330 0.567
Br 0.670 0.330 0.933
Br 0.758 0.242 0.250
Br 0.950 0.050 0.621
Br 0.950 0.050 0.879

Top 12 peaks for 2θ from 10° to 80°, low angle first:
- 13.50°, rel. 76
- 15.70°, rel. 67
- 17.19°, rel. 36
- 25.04°, rel. 35
- 28.55°, rel. 100
- 30.69°, rel. 40
- 31.30°, rel. 36
- 34.61°, rel. 41
- 37.87°, rel. 25
- 42.41°, rel. 32
- 42.88°, rel. 30
- 45.46°, rel. 38

=====

The following is a computed X-ray powder pattern of Ag2Hg3Br3. It was derived from a cell relaxed with GGA-PBE, using Cu Kα (weighted mean of Kα1 and Kα2).

Cell and atoms:
a = 9.871 Å, b = 9.871 Å, c = 9.871 Å
α = 86.62°, β = 86.62°, γ = 86.62°
Fractional positions:
Ag 0.225 0.225 0.225
Ag 0.238 0.752 0.293
Ag 0.248 0.707 0.762
Ag 0.293 0.238 0.752
Ag 0.707 0.762 0.248
Ag 0.752 0.293 0.238
Ag 0.762 0.248 0.707
Ag 0.775 0.775 0.775
Hg 0.020 0.332 0.795
Hg 0.183 0.304 0.497
Hg 0.205 0.980 0.668
Hg 0.304 0.497 0.183
Hg 0.332 0.795 0.020
Hg 0.497 0.183 0.304
Hg 0.503 0.817 0.696
Hg 0.668 0.205 0.980
Hg 0.696 0.503 0.817
Hg 0.795 0.020 0.332
Hg 0.817 0.696 0.503
Hg 0.980 0.668 0.205
Br 0.004 0.665 0.889
Br 0.111 0.996 0.335
Br 0.152 0.620 0.527
Br 0.335 0.111 0.996
Br 0.380 0.473 0.848
Br 0.473 0.848 0.380
Br 0.527 0.152 0.620
Br 0.620 0.527 0.152
Br 0.665 0.889 0.004
Br 0.848 0.380 0.473
Br 0.889 0.004 0.665
Br 0.996 0.335 0.111

Top 12 peaks for 2θ from 10° to 80°, low angle first:
- 14.70°, rel. 32
- 18.03°, rel. 55
- 28.20°, rel. 100
- 29.18°, rel. 79
- 30.28°, rel. 33
- 30.90°, rel. 43
- 32.53°, rel. 41
- 34.79°, rel. 31
- 40.06°, rel. 35
- 41.85°, rel. 29
- 41.97°, rel. 28
- 52.94°, rel. 24

=====

The following is a computed X-ray powder pattern of AgHg2PbBr8. It was derived from a cell relaxed with GGA-PBE, using Cu Kα (weighted mean of Kα1 and Kα2).

Cell and atoms:
a = 8.159 Å, b = 8.159 Å, c = 8.159 Å
α = 111.00°, β = 111.00°, γ = 106.46°
Fractional positions:
Ag 0.000 0.000 0.000
Hg 0.500 0.500 0.000
Hg 0.750 0.250 0.500
Pb 0.250 0.750 0.500
Br 0.295 0.108 0.812
Br 0.295 0.483 0.188
Br 0.347 0.046 0.301
Br 0.517 0.705 0.812
Br 0.745 0.046 0.699
Br 0.892 0.705 0.188
Br 0.954 0.255 0.301
Br 0.954 0.653 0.699

Top 12 peaks for 2θ from 10° to 80°, low angle first:
- 19.20°, rel. 100
- 22.73°, rel. 57
- 23.37°, rel. 33
- 26.55°, rel. 16
- 35.80°, rel. 100
- 36.80°, rel. 15
- 38.98°, rel. 32
- 41.84°, rel. 25
- 45.59°, rel. 49
- 54.68°, rel. 15
- 58.47°, rel. 23
- 61.50°, rel. 14

=====

The following is a computed X-ray powder pattern of Rb3Ag2HgBr6. It was derived from a cell relaxed with GGA-PBE, using Cu Kα (weighted mean of Kα1 and Kα2).

Cell and atoms:
a = 8.533 Å, b = 8.533 Å, c = 8.636 Å
α = 90.00°, β = 90.00°, γ = 120.00°
Fractional positions:
Rb 0.000 0.000 0.000
Rb 0.333 0.667 0.607
Rb 0.667 0.333 0.393
Ag 0.333 0.667 0.196
Ag 0.667 0.333 0.804
Hg 0.000 0.000 0.500
Br 0.165 0.329 0.285
Br 0.165 0.835 0.285
Br 0.329 0.165 0.715
Br 0.671 0.835 0.285
Br 0.835 0.165 0.715
Br 0.835 0.671 0.715

Top 12 peaks for 2θ from 10° to 80°, low angle first:
- 10.24°, rel. 34
- 11.98°, rel. 28
- 15.78°, rel. 62
- 20.82°, rel. 72
- 23.87°, rel. 46
- 26.23°, rel. 33
- 29.43°, rel. 20
- 31.88°, rel. 100
- 33.73°, rel. 21
- 38.38°, rel. 29
- 42.37°, rel. 58
- 53.99°, rel. 22

=====

The following is a computed X-ray powder pattern of AgHgTeBr. It was derived from a cell relaxed with GGA-PBE, using Cu Kα (weighted mean of Kα1 and Kα2).

Cell and atoms:
a = 4.650 Å, b = 4.650 Å, c = 7.873 Å
α = 107.16°, β = 107.16°, γ = 59.99°
Fractional positions:
Ag 0.000 0.000 0.000
Hg 0.491 0.491 0.480
Te 0.122 0.122 0.372
Br 0.625 0.625 0.877

Top 12 peaks for 2θ from 10° to 80°, low angle first:
- 11.96°, rel. 17
- 23.50°, rel. 100
- 24.04°, rel. 37
- 38.73°, rel. 55
- 39.43°, rel. 51
- 45.80°, rel. 17
- 46.11°, rel. 39
- 46.71°, rel. 12
- 56.46°, rel. 18
- 61.50°, rel. 14
- 70.11°, rel. 9
- 70.58°, rel. 18

=====

The following is a computed X-ray powder pattern of HoAg2Br5. It was derived from a cell relaxed with GGA-PBE, using Cu Kα (weighted mean of Kα1 and Kα2).

Cell and atoms:
a = 5.659 Å, b = 7.526 Å, c = 7.615 Å
α = 83.00°, β = 69.19°, γ = 69.28°
Fractional positions:
Ho 0.000 0.000 0.000
Ag 0.499 0.522 0.957
Ag 0.512 0.997 0.497
Br 0.046 0.672 0.217
Br 0.271 0.767 0.673
Br 0.509 0.995 0.990
Br 0.744 0.230 0.318
Br 0.978 0.320 0.769

Top 12 peaks for 2θ from 10° to 80°, low angle first:
- 12.43°, rel. 53
- 12.58°, rel. 49
- 18.00°, rel. 57
- 18.25°, rel. 100
- 25.38°, rel. 59
- 28.13°, rel. 54
- 28.25°, rel. 45
- 30.76°, rel. 38
- 35.81°, rel. 52
- 35.99°, rel. 67
- 36.56°, rel. 31
- 53.05°, rel. 25

=====

The following is a computed X-ray powder pattern of Rb2HoAg2Br6. It was derived from a cell relaxed with GGA-PBE, using Cu Kα (weighted mean of Kα1 and Kα2).

Cell and atoms:
a = 7.876 Å, b = 7.876 Å, c = 8.773 Å
α = 115.00°, β = 115.00°, γ = 63.45°
Fractional positions:
Rb 0.214 0.214 0.160
Rb 0.786 0.786 0.840
Ho 0.000 0.000 0.500
Ag 0.448 0.448 0.821
Ag 0.552 0.552 0.179
Br 0.170 0.705 0.233
Br 0.224 0.224 0.556
Br 0.295 0.830 0.767
Br 0.705 0.170 0.233
Br 0.776 0.776 0.444
Br 0.830 0.295 0.767

Top 12 peaks for 2θ from 10° to 80°, low angle first:
- 14.82°, rel. 70
- 19.94°, rel. 40
- 21.46°, rel. 40
- 22.62°, rel. 94
- 23.30°, rel. 100
- 25.62°, rel. 47
- 29.90°, rel. 49
- 31.95°, rel. 62
- 35.38°, rel. 44
- 38.75°, rel. 39
- 40.04°, rel. 47
- 43.72°, rel. 39

=====

The following is a computed X-ray powder pattern of HoTlAg2Br6. It was derived from a cell relaxed with GGA-PBE, using Cu Kα (weighted mean of Kα1 and Kα2).

Cell and atoms:
a = 8.055 Å, b = 8.055 Å, c = 8.055 Å
α = 54.77°, β = 54.77°, γ = 54.77°
Fractional positions:
Ho 0.000 0.000 0.000
Tl 0.519 0.519 0.519
Ag 0.332 0.332 0.332
Ag 0.813 0.813 0.813
Br 0.066 0.399 0.750
Br 0.172 0.977 0.593
Br 0.399 0.750 0.066
Br 0.593 0.172 0.977
Br 0.750 0.066 0.399
Br 0.977 0.593 0.172

Top 12 peaks for 2θ from 10° to 80°, low angle first:
- 16.30°, rel. 46
- 22.21°, rel. 51
- 24.02°, rel. 34
- 27.39°, rel. 58
- 32.94°, rel. 26
- 35.77°, rel. 100
- 41.18°, rel. 26
- 42.25°, rel. 54
- 46.86°, rel. 16
- 51.09°, rel. 13
- 56.52°, rel. 20
- 73.03°, rel. 22

=====

The following is a computed X-ray powder pattern of Ag3IBr3. It was derived from a cell relaxed with GGA-PBE, using Cu Kα (weighted mean of Kα1 and Kα2).

Cell and atoms:
a = 9.834 Å, b = 9.834 Å, c = 5.602 Å
α = 90.00°, β = 90.00°, γ = 119.99°
Fractional positions:
Ag 0.168 0.832 0.750
Ag 0.169 0.337 0.750
Ag 0.337 0.169 0.250
Ag 0.663 0.831 0.750
Ag 0.831 0.663 0.250
Ag 0.832 0.168 0.250
I 0.333 0.667 0.750
I 0.667 0.333 0.250
Br 0.158 0.842 0.250
Br 0.159 0.317 0.250
Br 0.317 0.159 0.750
Br 0.683 0.841 0.250
Br 0.841 0.683 0.750
Br 0.842 0.158 0.750

Top 12 peaks for 2θ from 10° to 80°, low angle first:
- 18.96°, rel. 42
- 20.86°, rel. 100
- 31.95°, rel. 46
- 36.55°, rel. 92
- 38.47°, rel. 40
- 42.45°, rel. 15
- 49.32°, rel. 86
- 54.10°, rel. 14
- 65.79°, rel. 15
- 67.06°, rel. 14
- 75.02°, rel. 23
- 78.61°, rel. 19

=====

The following is a computed X-ray powder pattern of Ag2I2Br5. It was derived from a cell relaxed with GGA-PBE, using Cu Kα (weighted mean of Kα1 and Kα2).

Cell and atoms:
a = 15.098 Å, b = 15.098 Å, c = 7.751 Å
α = 97.49°, β = 97.49°, γ = 23.89°
Fractional positions:
Ag 0.090 0.551 0.212
Ag 0.137 0.863 0.500
Ag 0.551 0.090 0.712
Ag 0.863 0.137 0.000
I 0.258 0.581 0.615
I 0.355 0.973 0.107
I 0.581 0.258 0.115
I 0.973 0.355 0.607
Br 0.137 0.961 0.806
Br 0.243 0.330 0.920
Br 0.311 0.644 0.183
Br 0.330 0.243 0.420
Br 0.644 0.311 0.683
Br 0.664 0.666 0.357
Br 0.666 0.664 0.857
Br 0.838 0.871 0.995
Br 0.871 0.838 0.495
Br 0.961 0.137 0.306

Top 12 peaks for 2θ from 10° to 80°, low angle first:
- 18.18°, rel. 95
- 19.75°, rel. 91
- 20.79°, rel. 74
- 21.14°, rel. 41
- 22.81°, rel. 53
- 24.81°, rel. 29
- 29.76°, rel. 54
- 32.74°, rel. 80
- 37.11°, rel. 100
- 38.49°, rel. 38
- 43.00°, rel. 30
- 46.28°, rel. 51

=====

The following is a computed X-ray powder pattern of AgIBr5. It was derived from a cell relaxed with GGA-PBE, using Cu Kα (weighted mean of Kα1 and Kα2).

Cell and atoms:
a = 8.789 Å, b = 8.873 Å, c = 8.890 Å
α = 113.76°, β = 93.34°, γ = 107.81°
Fractional positions:
Ag 0.000 0.000 0.000
Ag 0.000 0.500 0.500
I 0.257 0.149 0.500
I 0.743 0.851 0.500
Br 0.055 0.713 0.820
Br 0.232 0.821 0.410
Br 0.242 0.216 0.812
Br 0.292 0.502 0.576
Br 0.293 0.105 0.171
Br 0.707 0.895 0.829
Br 0.708 0.498 0.424
Br 0.758 0.784 0.188
Br 0.768 0.179 0.590
Br 0.945 0.287 0.180

Top 12 peaks for 2θ from 10° to 80°, low angle first:
- 10.81°, rel. 96
- 11.12°, rel. 100
- 12.05°, rel. 41
- 17.44°, rel. 68
- 20.63°, rel. 59
- 21.72°, rel. 53
- 23.14°, rel. 65
- 24.23°, rel. 44
- 31.35°, rel. 63
- 32.09°, rel. 60
- 33.80°, rel. 42
- 47.46°, rel. 46

=====

The following is a computed X-ray powder pattern of AgIBr4. It was derived from a cell relaxed with GGA-PBE, using Cu Kα (weighted mean of Kα1 and Kα2).

Cell and atoms:
a = 8.814 Å, b = 8.814 Å, c = 7.918 Å
α = 90.71°, β = 90.71°, γ = 126.02°
Fractional positions:
Ag 0.249 0.751 0.750
Ag 0.751 0.249 0.250
I 0.134 0.866 0.250
I 0.866 0.134 0.750
Br 0.027 0.291 0.059
Br 0.170 0.433 0.598
Br 0.291 0.027 0.559
Br 0.433 0.170 0.098
Br 0.567 0.830 0.902
Br 0.709 0.973 0.441
Br 0.830 0.567 0.402
Br 0.973 0.709 0.941

Top 12 peaks for 2θ from 10° to 80°, low angle first:
- 11.27°, rel. 99
- 12.42°, rel. 82
- 15.90°, rel. 100
- 20.27°, rel. 40
- 22.64°, rel. 97
- 26.02°, rel. 56
- 27.20°, rel. 93
- 30.66°, rel. 57
- 39.34°, rel. 44
- 40.16°, rel. 41
- 45.86°, rel. 47
- 46.59°, rel. 42

=====

The following is a computed X-ray powder pattern of Ag2I2Br. It was derived from a cell relaxed with GGA-PBE, using Cu Kα (weighted mean of Kα1 and Kα2).

Cell and atoms:
a = 7.174 Å, b = 7.174 Å, c = 7.803 Å
α = 104.26°, β = 104.26°, γ = 114.30°
Fractional positions:
Ag 0.171 0.326 0.000
Ag 0.326 0.171 0.500
Ag 0.674 0.829 0.500
Ag 0.829 0.674 0.000
I 0.251 0.749 0.250
I 0.416 0.584 0.750
I 0.584 0.416 0.250
I 0.749 0.251 0.750
Br 0.068 0.932 0.750
Br 0.932 0.068 0.250

Top 12 peaks for 2θ from 10° to 80°, low angle first:
- 14.70°, rel. 16
- 15.23°, rel. 33
- 26.84°, rel. 76
- 29.70°, rel. 14
- 31.28°, rel. 100
- 41.67°, rel. 90
- 44.50°, rel. 19
- 45.13°, rel. 17
- 52.66°, rel. 13
- 53.29°, rel. 20
- 64.86°, rel. 12
- 73.68°, rel. 12